No. 1
Diffraction record for K2MnPCO7. The powder diffraction line list is computed, not measured: it uses a crystal structure in Alexandria, relaxed with GGA+U and Cu Kα X-rays.
Kinematic intensities with the Lorentz-polarization factor, no thermal factor.

Structure:
a b c (Å): 5.4051 7.2716 9.5760
angles (deg): 90.00 91.46 90.00
Space group P2_1/m (No. 11)
Inequivalent atoms, fractional coordinates:
K1 0.2449 0.0282 0.2435
Mn1 0.2842 0.2500 0.6361
P1 0.2225 0.7500 0.5743
C1 0.2354 0.2500 0.8907
O1 0.0504 0.2500 0.7971
O2 0.0624 0.2500 0.4721
O3 0.2083 0.2500 0.0191
O4 0.2737 0.5735 0.6592
O5 0.3781 0.7500 0.4376
O6 0.4503 0.2500 0.8283

Peak list (6 most intense, 10° ≤ 2θ ≤ 90°, in order of rising 2θ)
h k l  Position (°2θ)  I/Imax
0 1 1  15.30  35
1 0 -2  24.51  58
1 2 -1  30.92  100
1 2 1  31.22  50
1 0 -3  32.21  34
2 0 0  33.16  45

No. 2
Diffraction record for K2Mn3V2CO11. The powder diffraction line list is computed, not measured: it uses a crystal structure in Alexandria, relaxed with GGA+U and Cu Kα X-rays.
Kinematic intensities with the Lorentz-polarization factor, no thermal factor.

Structure:
a b c (Å): 5.2906 5.2906 22.6573
angles (deg): 90.00 90.00 120.00
Space group P6_3/m (No. 176)
Inequivalent atoms, fractional coordinates:
K1 0.3333 0.6667 0.1586
Mn1 0.0000 0.0000 0.2500
Mn2 0.3333 0.6667 0.5044
V1 0.0000 0.0000 0.0796
C1 0.3333 0.6667 0.7500
O1 0.0000 0.0000 0.1556
O2 0.0106 0.6895 0.0545
O3 0.0715 0.4408 0.7500

Peak list (6 most intense, 10° ≤ 2θ ≤ 90°, in order of rising 2θ)
h k l  Position (°2θ)  I/Imax
0 0 4  15.64  37
1 0 5  27.69  32
1 0 6  30.68  97
1 1 0  33.89  100
2 0 6  46.36  36
1 1 12  60.22  38

Q: Which formula does entry 2 have?
A: K2Mn3V2CO11